For Mn2Se2O7, a DFT-relaxed cell (PBE+U, Alexandria) gives the computed powder diffractogram in this record (λ = 1.5418 Å (Cu Kα)).

Peak list (8 most intense, 2θ from 10° to 90°, sorted by position)
2θ/deg, d [Å], Rel. int., hkl
19.72, 4.503, 21, 1 1 0
22.83, 3.895, 31, 0 2 1
25.24, 3.528, 100, 1 2 -1
29.75, 3.003, 68, 1 1 1
29.92, 2.986, 29, 1 3 0
31.70, 2.823, 36, 0 4 0
32.69, 2.739, 16, 1 1 -2
53.62, 1.709, 18, 2 5 -1

Structure:
Lattice parameters (Å, degrees): 5.2579 11.2872 5.7638 90.00 110.95 90.00
Space group P2_1/c (No. 14)
Asymmetric unit:
Mn: 0.0296 0.1431 0.4047 (multiplicity 4)
Se: 0.3375 0.5959 0.6961 (multiplicity 4)
O: 0.0925 0.6864 0.4855 (multiplicity 4)
O: 0.1598 0.5423 0.8820 (multiplicity 4)
O: 0.4324 0.1919 0.6208 (multiplicity 4)
O: 0.5000 0.0000 0.0000 (multiplicity 2)